Entry 1:
Diffraction record for Mn3CoP6O24. The X-ray diffraction stick pattern is computed, not measured: it uses a crystal structure in the Materials Project, relaxed with PBE+U and CuKα.
Kinematic intensities with the Lorentz-polarization factor, no thermal factor.

Principal peaks in the range 10° ≤ 2θ ≤ 90°, by angle:
2θ/deg	Rel. int.
14.68	45
20.52	63
21.12	33
24.53	100
29.62	55
32.81	52
37.02	14
50.29	14
54.08	14
58.02	12

Atomic structure:
```
data_Mn3CoP6O24
_chemical_formula_sum 'Mn9 Co3 P18 O72'
_symmetry_space_group_name_H-M 'R 3'
_symmetry_Int_Tables_number 146
_symmetry_space_group_name_Hall 'R 3'
_cell_length_a 8.4121
_cell_length_b 8.4121
_cell_length_c 21.5209
_cell_angle_alpha 90.00
_cell_angle_beta 90.00
_cell_angle_gamma 120.00
loop_
_atom_site_label
_atom_site_type_symbol
_atom_site_fract_x
_atom_site_fract_y
_atom_site_fract_z
Mn1 Mn 0.0000 0.0000 0.0000
Mn2 Mn 0.0000 0.0000 0.2121
Mn3 Mn 0.0000 0.0000 0.5003
Co1 Co 0.0000 0.0000 0.7114
P1 P 0.9999 0.2830 0.6065
P2 P 0.0492 0.6685 0.7724
O1 O 0.0289 0.1915 0.2677
O2 O 0.0291 0.8410 0.7678
O3 O 0.0341 0.8307 0.0471
O4 O 0.0354 0.2031 0.5474
O5 O 0.1647 0.7019 0.8314
O6 O 0.1659 0.4618 0.3327
O7 O 0.1701 0.6947 0.1110
O8 O 0.1724 0.4737 0.6116
```

***

Entry 2:
Diffraction record for MgMn5Cr2O12. The X-ray diffraction stick pattern is computed, not measured: it uses a crystal structure in the Materials Project, relaxed with PBE+U and CuKα.
Kinematic intensities with the Lorentz-polarization factor, no thermal factor.

Principal peaks in the range 10° ≤ 2θ ≤ 90°, by angle:
2θ/deg	Rel. int.
18.44	74
19.60	36
23.67	56
36.87	41
41.81	100
42.73	91
43.82	84
61.23	25
61.41	45
62.00	26

Atomic structure:
```
data_MgMn5Cr2O12
_chemical_formula_sum 'Mg1 Mn5 Cr2 O12'
_symmetry_space_group_name_H-M 'P 1'
_symmetry_Int_Tables_number 1
_symmetry_space_group_name_Hall 'P 1'
_cell_length_a 5.200
_cell_length_b 5.205
_cell_length_c 9.862
_cell_angle_alpha 77.32
_cell_angle_beta 84.68
_cell_angle_gamma 60.59
loop_
_atom_site_label
_atom_site_type_symbol
_atom_site_fract_x
_atom_site_fract_y
_atom_site_fract_z
Mg1 Mg 0.000 0.000 0.000
Mn1 Mn 0.310 0.587 0.272
Mn2 Mn 0.311 0.112 0.754
Mn3 Mn 0.690 0.676 0.994
Mn4 Mn 0.713 0.116 0.533
Mn5 Mn 0.998 0.245 0.263
Cr1 Cr 0.647 0.920 0.265
Cr2 Cr 0.658 0.439 0.753
O1 O 0.312 0.942 0.158
O2 O 0.327 0.216 0.361
O3 O 0.365 0.740 0.886
O4 O 0.399 0.399 0.634
O5 O 0.592 0.838 0.645
O6 O 0.636 0.060 0.888
O7 O 0.666 0.514 0.367
O8 O 0.701 0.294 0.137
O9 O 0.946 0.887 0.385
O10 O 0.960 0.670 0.140
O11 O 0.981 0.171 0.654
O12 O 0.986 0.363 0.873
```

***

Entry 3:
Diffraction record for VCr2O4. The X-ray diffraction stick pattern is computed, not measured: it uses a crystal structure in the Materials Project, relaxed with PBE+U and CuKα.
Kinematic intensities with the Lorentz-polarization factor, no thermal factor.

Principal peaks in the range 10° ≤ 2θ ≤ 90°, by angle:
2θ/deg	Rel. int.
17.94	15
29.50	27
34.74	100
36.33	7
42.20	26
52.33	9
55.77	36
61.22	48
72.34	10
87.48	16

Atomic structure:
a = 8.565 Å, b = 8.565 Å, c = 8.565 Å
α = 90.00°, β = 90.00°, γ = 90.00°
Space group Fd-3m (No. 227, origin choice 2)
Asymmetric unit:
V 0.125 0.125 0.125 [8 per cell]
Cr 0.000 0.000 0.500 [16 per cell]
O 0.010 0.010 0.740 [32 per cell]

***

Entry 4:
Diffraction record for BaSr6Fe3Bi3O16. The X-ray diffraction stick pattern is computed, not measured: it uses a crystal structure in the Materials Project, relaxed with PBE+U and CuKα.
Kinematic intensities with the Lorentz-polarization factor, no thermal factor.

Principal peaks in the range 10° ≤ 2θ ≤ 90°, by angle:
2θ/deg	Rel. int.
25.38	33
26.65	22
28.16	19
28.51	23
29.88	100
33.21	81
44.33	39
47.68	36
53.97	21
57.29	34

Atomic structure:
```
data_BaSr6Fe3Bi3O16
_chemical_formula_sum 'Ba2 Sr12 Fe6 Bi6 O32'
_symmetry_space_group_name_H-M 'I 4 m m'
_symmetry_Int_Tables_number 107
_symmetry_space_group_name_Hall 'I 4 -2'
_cell_length_a 3.815
_cell_length_b 3.815
_cell_length_c 62.611
_cell_angle_alpha 90.00
_cell_angle_beta 90.00
_cell_angle_gamma 90.00
loop_
_atom_site_label
_atom_site_type_symbol
_atom_site_fract_x
_atom_site_fract_y
_atom_site_fract_z
Ba1 Ba 0.000 0.000 0.000
Sr1 Sr 0.000 0.000 0.245
Sr2 Sr 0.000 0.000 0.305
Sr3 Sr 0.000 0.000 0.546
Sr4 Sr 0.000 0.000 0.606
Sr5 Sr 0.000 0.000 0.849
Sr6 Sr 0.000 0.000 0.909
Fe1 Fe 0.000 0.000 0.074
Fe2 Fe 0.000 0.000 0.376
Fe3 Fe 0.000 0.000 0.778
Bi1 Bi 0.000 0.000 0.151
Bi2 Bi 0.000 0.000 0.454
Bi3 Bi 0.000 0.000 0.699
O1 O 0.000 0.000 0.042
O2 O 0.000 0.000 0.118
O3 O 0.000 0.000 0.199
O4 O 0.000 0.000 0.345
O5 O 0.000 0.000 0.421
O6 O 0.000 0.000 0.502
O7 O 0.000 0.000 0.651
O8 O 0.000 0.000 0.732
O9 O 0.000 0.000 0.809
O10 O 0.000 0.000 0.954
O11 O 0.000 0.500 0.078
O12 O 0.000 0.500 0.272
O13 O 0.000 0.500 0.381
```

***

Entry 5:
Diffraction record for SrMnSe4O12. The X-ray diffraction stick pattern is computed, not measured: it uses a crystal structure in the Materials Project, relaxed with PBE+U and CuKα.
Kinematic intensities with the Lorentz-polarization factor, no thermal factor.

Principal peaks in the range 10° ≤ 2θ ≤ 90°, by angle:
2θ/deg	Rel. int.
19.67	43
20.54	32
23.79	37
31.62	100
33.89	43
39.48	17
48.64	27
48.74	17
54.85	23
59.22	38

Atomic structure:
```
data_SrMnSe4O12
_chemical_formula_sum 'Sr2 Mn2 Se8 O24'
_symmetry_space_group_name_H-M 'A m m 2'
_symmetry_Int_Tables_number 38
_symmetry_space_group_name_Hall 'A 2 -2'
_cell_length_a 7.474
_cell_length_b 7.490
_cell_length_c 8.648
_cell_angle_alpha 90.00
_cell_angle_beta 90.00
_cell_angle_gamma 90.00
loop_
_atom_site_label
_atom_site_type_symbol
_atom_site_fract_x
_atom_site_fract_y
_atom_site_fract_z
Sr1 Sr 0.000 0.000 0.000
Mn1 Mn 0.500 0.000 0.415
Se1 Se 0.256 0.233 0.717
O1 O 0.000 0.219 0.670
O2 O 0.221 0.000 0.245
O3 O 0.262 0.190 0.906
O4 O 0.315 0.000 0.625
O5 O 0.500 0.187 0.199
```

***

Entry 6:
Diffraction record for Mn12O7F17. The X-ray diffraction stick pattern is computed, not measured: it uses a crystal structure in the Materials Project, relaxed with PBE+U and CuKα.
Kinematic intensities with the Lorentz-polarization factor, no thermal factor.

Principal peaks in the range 10° ≤ 2θ ≤ 90°, by angle:
2θ/deg	Rel. int.
23.30	100
24.87	74
28.47	87
29.16	84
30.01	82
30.23	78
50.42	37
50.76	42
51.89	38
61.15	38

Atomic structure:
```
data_Mn12O7F17
_chemical_formula_sum 'Mn12 O7 F17'
_symmetry_space_group_name_H-M 'P 1'
_symmetry_Int_Tables_number 1
_symmetry_space_group_name_Hall 'P 1'
_cell_length_a 4.816
_cell_length_b 5.787
_cell_length_c 15.909
_cell_angle_alpha 89.20
_cell_angle_beta 88.77
_cell_angle_gamma 86.25
loop_
_atom_site_label
_atom_site_type_symbol
_atom_site_fract_x
_atom_site_fract_y
_atom_site_fract_z
Mn1 Mn 0.000 0.000 0.000
Mn2 Mn 0.001 0.006 0.339
Mn3 Mn 0.482 0.824 0.181
Mn4 Mn 0.490 0.498 0.341
Mn5 Mn 0.494 0.802 0.508
Mn6 Mn 0.500 0.814 0.841
Mn7 Mn 0.501 0.503 0.004
Mn8 Mn 0.541 0.508 0.673
Mn9 Mn 0.949 0.997 0.676
Mn10 Mn 0.958 0.316 0.502
Mn11 Mn 0.977 0.319 0.159
Mn12 Mn 0.999 0.321 0.830
O1 O 0.272 0.771 0.292
O2 O 0.289 0.772 0.948
O3 O 0.706 0.534 0.565
O4 O 0.717 0.781 0.734
O5 O 0.765 0.267 0.725
O6 O 0.768 0.269 0.050
O7 O 0.772 0.272 0.391
F1 F 0.187 0.240 0.611
F2 F 0.222 0.047 0.450
F3 F 0.227 0.037 0.107
F4 F 0.233 0.032 0.782
F5 F 0.233 0.264 0.273
F6 F 0.237 0.760 0.624
F7 F 0.243 0.277 0.941
F8 F 0.265 0.540 0.450
F9 F 0.280 0.543 0.115
F10 F 0.294 0.536 0.778
F11 F 0.722 0.537 0.233
F12 F 0.736 0.764 0.068
F13 F 0.737 0.549 0.896
F14 F 0.741 0.770 0.396
F15 F 0.748 0.032 0.559
F16 F 0.778 0.038 0.892
F17 F 0.781 0.040 0.228
```